Starting from a structure optimized by DFT (GGA-PBE), the powder XRD pattern of Tc3Mo4 was calculated for copper Kα.
Intensities are scaled so that the largest is 100.

Atomic structure:
```
7
Lattice="-1.5660 1.5660 10.9776 1.5660 -1.5660 10.9776 1.5660 1.5660 -10.9776" Properties=species:S:1:pos:R:3 pbc="T T T"
Tc 0.0000 0.0000 0.0000
Tc 0.0000 0.0000 6.3161
Tc 0.0000 0.0000 15.6390
Mo 0.0000 0.0000 3.1359
Mo 0.0000 0.0000 9.3873
Mo 0.0000 0.0000 12.5678
Mo 0.0000 0.0000 18.8193
```

Peak list (4 most intense, 2θ from 10° to 90°, low angle first)
two_theta, d [Å], I (rel.)
40.72, 2.216, 100
58.95, 1.567, 16
74.12, 1.279, 33
88.19, 1.108, 11